# 1
Starting from the PBE geometry in the Materials Project, the X-ray diffraction stick pattern of NaLaScSbO6 was calculated for Cu Kα (λ = 1.5418 Å).

Main lines, low angle first (2θ from 10° to 90°):
- 4.641 Å, 2θ = 19.1°, I 74
- 2.848 Å, 2θ = 31.4°, I 46
- 2.839 Å, 2θ = 31.5°, I 100
- 2.429 Å, 2θ = 37.0°, I 18
- 2.422 Å, 2θ = 37.1°, I 15
- 2.014 Å, 2θ = 45.0°, I 33
- 2.001 Å, 2θ = 45.3°, I 15
- 1.643 Å, 2θ = 55.9°, I 30
- 1.639 Å, 2θ = 56.1°, I 29
- 1.421 Å, 2θ = 65.7°, I 12

Crystal structure
Lattice parameters (Å, degrees): 5.6871 5.7040 9.8046 90.00 125.28 90.00
Fractional positions:
Na (0.0000, 0.2457, 0.0000)
Na (0.0000, 0.7543, 0.5000)
La (0.4786, 0.2603, 0.4996)
La (0.4786, 0.7397, 0.9996)
Sc (0.7399, 0.2490, 0.2475)
Sc (0.7399, 0.7510, 0.7475)
Sb (0.2439, 0.2487, 0.7508)
Sb (0.2439, 0.7513, 0.2508)
O (0.0447, 0.4921, 0.7971)
O (0.0447, 0.5079, 0.2971)
O (0.0646, 0.0112, 0.2976)
O (0.0646, 0.9888, 0.7976)
O (0.4348, 0.4984, 0.7019)
O (0.4348, 0.5016, 0.2019)
O (0.4528, 0.0199, 0.7013)
O (0.4528, 0.9801, 0.2013)
O (0.5688, 0.2572, 0.9936)
O (0.5688, 0.7428, 0.4936)
O (0.9063, 0.2452, 0.5081)
O (0.9063, 0.7548, 0.0081)

***

# 2
Starting from the PBE geometry in the Materials Project, the X-ray diffraction stick pattern of NaSrLaSeO6 was calculated for Cu Kα (λ = 1.5418 Å).

Main lines, low angle first (2θ from 10° to 90°):
- 4.786 Å, 2θ = 18.5°, I 13
- 4.145 Å, 2θ = 21.4°, I 27
- 2.931 Å, 2θ = 30.5°, I 100
- 2.499 Å, 2θ = 35.9°, I 11
- 2.072 Å, 2θ = 43.7°, I 35
- 1.854 Å, 2θ = 49.2°, I 10
- 1.692 Å, 2θ = 54.2°, I 38
- 1.465 Å, 2θ = 63.5°, I 21
- 1.311 Å, 2θ = 72.1°, I 19
- 1.108 Å, 2θ = 88.2°, I 22

Crystal structure
Lattice parameters (Å, degrees): 5.8615 5.8615 5.8615 60.00 60.00 60.00
Fractional positions:
Na (0.0000, 0.0000, 0.0000)
Sr (0.5000, 0.5000, 0.5000)
La (0.2500, 0.2500, 0.2500)
Se (0.7500, 0.7500, 0.7500)
O (0.5294, 0.5294, 0.9706)
O (0.5294, 0.9706, 0.5294)
O (0.5294, 0.9706, 0.9706)
O (0.9706, 0.5294, 0.5294)
O (0.9706, 0.5294, 0.9706)
O (0.9706, 0.9706, 0.5294)